No. 1
This entry pairs a crystal structure of HoPuBiO2 with its computed X-ray diffraction stick pattern. Radiation: Cu Kα (weighted mean of Kα1 and Kα2). Structure: a structure optimized by DFT (GGA-PBE).

Structure:
Cell lengths 3.904, 3.904, 13.324 Å; angles 90.00, 90.00, 90.00 degrees
Space group I4mm (No. 107)
Unique sites:
Ho1 0.000 0.000 0.000
Pu1 0.000 0.000 0.673
Bi1 0.000 0.000 0.334
O1 0.000 0.500 0.082

Main lines, in order of rising 2θ (10 to 90 degrees two-theta):
2θ (°), Rel. int., (hkl)
30.5, 1000, 1 0 3
32.4, 381, 1 1 0
46.5, 177, 2 0 0
52.9, 243, 1 1 6
56.7, 361, 2 1 3
63.5, 117, 2 0 6
67.7, 104, 1 0 9
86.1, 113, 2 1 9

No. 2
This entry pairs a crystal structure of U2Ni7Sn2Pt with its computed X-ray diffraction stick pattern. Radiation: Cu Kα (weighted mean of Kα1 and Kα2). Structure: a structure optimized by DFT (GGA-PBE).

Structure:
Cell lengths 5.022, 4.987, 15.718 Å; angles 90.00, 96.72, 90.00 degrees
Space group C2/m (No. 12)
Unique sites:
U1 0.096 0.000 0.249
Ni1 0.000 0.000 0.000
Ni2 0.180 0.000 0.448
Ni3 0.206 0.250 0.876
Sn1 0.151 0.500 0.388
Pt1 0.000 0.500 0.000

Main lines, in order of rising 2θ (10 to 90 degrees two-theta):
2θ (°), Rel. int., (hkl)
28.6, 1000, 1 1 2
29.4, 726, 1 1 -3
35.8, 669, 2 0 -1
40.1, 713, 1 1 5
41.4, 490, 1 1 -6
43.1, 486, 0 2 4
46.6, 674, 0 0 8
51.7, 799, 2 2 -1

No. 3
This entry pairs a crystal structure of Sc8TlRu2 with its computed X-ray diffraction stick pattern. Radiation: Cu Kα (weighted mean of Kα1 and Kα2). Structure: a structure optimized by DFT (GGA-PBE).

Structure:
Cell lengths 4.913, 14.762, 6.515 Å; angles 90.00, 90.00, 90.00 degrees
Space group Imm2 (No. 44)
Unique sites:
Sc1 0.000 0.000 0.000
Sc2 0.000 0.114 0.448
Sc3 0.000 0.291 0.128
Sc4 0.000 0.329 0.587
Sc5 0.000 0.500 0.233
Tl1 0.000 0.500 0.797
Ru1 0.000 0.170 0.824

Main lines, in order of rising 2θ (10 to 90 degrees two-theta):
2θ (°), Rel. int., (hkl)
22.7, 1000, 0 3 1
25.6, 390, 1 3 0
33.6, 223, 1 1 2
36.6, 655, 2 0 0
37.8, 901, 1 3 2
43.4, 524, 1 6 1
45.7, 336, 1 0 3
66.7, 302, 3 3 2

No. 4
This entry pairs a crystal structure of Pr2TmTe2O2 with its computed X-ray diffraction stick pattern. Radiation: Cu Kα (weighted mean of Kα1 and Kα2). Structure: a structure optimized by DFT (GGA-PBE).

Structure:
Cell lengths 4.361, 4.361, 16.867 Å; angles 90.00, 90.00, 90.00 degrees
Space group I4/mmm (No. 139)
Unique sites:
Pr1 0.000 0.000 0.108
Tm1 0.000 0.000 0.500
Te1 0.000 0.000 0.319
O1 0.000 0.500 0.000

Main lines, in order of rising 2θ (10 to 90 degrees two-theta):
2θ (°), Rel. int., (hkl)
29.0, 778, 1 1 0
33.6, 1000, 1 0 5
41.4, 358, 2 0 0
54.3, 551, 2 1 5
60.0, 118, 2 2 0
68.0, 140, 3 1 0
70.6, 193, 3 0 5
85.2, 189, 3 2 5

No. 5
This entry pairs a crystal structure of BeB12C2 with its computed X-ray diffraction stick pattern. Radiation: Cu Kα (weighted mean of Kα1 and Kα2). Structure: a structure optimized by DFT (GGA-PBE).

Structure:
Cell lengths 5.6055, 5.6055, 12.3625 Å; angles 90.00, 90.00, 120.00 degrees
Space group R-3m (No. 166, hexagonal axes)
Unique sites:
Be1 0.0000 0.0000 0.0000
B1 0.0116 0.5058 0.8092
B2 0.1096 0.2192 0.3871
C1 0.0000 0.0000 0.1351

Main lines, in order of rising 2θ (10 to 90 degrees two-theta):
2θ (°), Rel. int., (hkl)
19.6, 171, 1 0 1
21.6, 510, 0 0 3
23.3, 255, 0 1 2
34.4, 717, 1 0 4
37.8, 1000, 0 2 1
63.1, 336, 0 1 8
66.8, 183, 2 2 0
74.6, 213, 2 1 7

No. 6
This entry pairs a crystal structure of ZnSb2H2 with its computed X-ray diffraction stick pattern. Radiation: Cu Kα (weighted mean of Kα1 and Kα2). Structure: a structure optimized by DFT (GGA-PBE).

Structure:
Cell lengths 4.298, 4.678, 10.923 Å; angles 89.57, 89.98, 89.77 degrees
Space group P-1 (No. 2)
Unique sites:
Zn1 0.200 0.495 0.086
Sb1 0.245 0.003 0.626
Sb2 0.255 0.994 0.198
H1 0.238 0.495 0.931
H2 0.247 0.375 0.613

Main lines, in order of rising 2θ (10 to 90 degrees two-theta):
2θ (°), Rel. int., (hkl)
19.0, 474, 0 1 0
20.7, 179, 0 1 -1
25.0, 158, 0 1 2
26.4, 1000, 1 0 -2
37.8, 290, 1 -1 3
38.5, 276, 0 2 0
42.0, 208, 2 0 0
47.3, 231, -1 2 2

No. 7
This entry pairs a crystal structure of Ba7NaRh2Br2 with its computed X-ray diffraction stick pattern. Radiation: Cu Kα (weighted mean of Kα1 and Kα2). Structure: a structure optimized by DFT (GGA-PBE).

Structure:
Cell lengths 6.404, 27.698, 6.392 Å; angles 90.00, 90.00, 90.00 degrees
Space group Imm2 (No. 44)
Unique sites:
Ba1 0.000 0.000 0.000
Ba2 0.000 0.106 0.500
Ba3 0.000 0.218 0.001
Ba4 0.000 0.393 0.500
Na1 0.000 0.500 0.999
Rh1 0.000 0.114 0.000
Br1 0.000 0.250 0.501

Main lines, in order of rising 2θ (10 to 90 degrees two-theta):
2θ (°), Rel. int., (hkl)
14.2, 580, 0 1 1
23.5, 334, 1 4 1
27.6, 275, 1 6 1
27.9, 1000, 2 0 0
32.3, 354, 0 10 0
38.3, 314, 2 8 0
39.9, 379, 2 0 2
43.2, 404, 2 10 0

No. 8
This entry pairs a crystal structure of LuTi with its computed X-ray diffraction stick pattern. Radiation: Cu Kα (weighted mean of Kα1 and Kα2). Structure: a structure optimized by DFT (GGA-PBE).

Structure:
Cell lengths 3.211, 4.986, 5.669 Å; angles 90.00, 90.00, 90.00 degrees
Space group Pmmn (No. 59, origin choice 2)
Unique sites:
Lu1 0.250 0.250 0.108
Ti1 0.250 0.750 0.426

Main lines, in order of rising 2θ (10 to 90 degrees two-theta):
2θ (°), Rel. int., (hkl)
15.6, 521, 0 0 1
23.8, 366, 0 1 1
32.0, 390, 1 0 1
33.2, 331, 1 1 0
36.0, 412, 0 2 0
36.5, 701, 0 1 2
36.9, 1000, 1 1 1
68.9, 236, 1 2 3